Starting from a GGA-PBE-relaxed structure, the PXRD pattern of Sn6PdAu3 was simulated for Cu Kα (weighted mean of Kα1 and Kα2).
No peak broadening, texture or thermal motion is included.

Most intense lines, 15 to 90 degrees two-theta, sorted by position:
| 2θ (°) | I/Imax | h k l |
| --- | --- | --- |
| 29.2 | 53 | 1 2 -1 |
| 29.5 | 54 | 2 1 -1 |
| 30.4 | 67 | 1 0 -4 |
| 30.5 | 31 | 1 2 0 |
| 33.2 | 46 | 1 1 -4 |
| 33.4 | 40 | 2 1 0 |
| 38.3 | 83 | 0 2 3 |
| 40.8 | 48 | 2 2 0 |
| 41.4 | 100 | 2 2 -4 |
| 42.0 | 71 | 1 3 -1 |
| 43.9 | 46 | 3 1 -1 |
| 44.8 | 41 | 3 1 -5 |

Cell and atoms:
a b c (Å): 7.150 6.763 11.991
angles (deg): 90.00 125.10 90.00
Element x y z (fractional)
Sn 0.075 0.151 0.416
Sn 0.075 0.349 0.916
Sn 0.262 0.626 0.410
Sn 0.262 0.874 0.910
Sn 0.407 0.564 0.743
Sn 0.407 0.936 0.243
Sn 0.593 0.064 0.757
Sn 0.593 0.436 0.257
Sn 0.738 0.126 0.090
Sn 0.738 0.374 0.590
Sn 0.925 0.651 0.084
Sn 0.925 0.849 0.584
Pd 0.000 0.000 0.000
Pd 0.000 0.500 0.500
Au 0.196 0.193 0.724
Au 0.196 0.307 0.224
Au 0.500 0.000 0.500
Au 0.500 0.500 0.000
Au 0.804 0.693 0.776
Au 0.804 0.807 0.276